Record 1
This entry pairs a crystal structure of AlAg6 with its theoretical powder XRD pattern. Radiation: Cu Kα. Structure: a crystal structure in Alexandria, relaxed with GGA-PBE.

Top 10 peaks for 15° ≤ 2θ ≤ 90°, in order of rising 2θ:
2.395 Å, 2θ 37.56, rel. 511, hkl 0 1 -3; 2.380 Å, 2θ 37.80, rel. 1000, hkl 1 1 1; 2.367 Å, 2θ 38.01, rel. 486, hkl 1 -1 0; 2.081 Å, 2θ 43.50, rel. 326, hkl 1 0 -3; 2.070 Å, 2θ 43.73, rel. 318, hkl 1 0 4; 2.035 Å, 2θ 44.52, rel. 305, hkl 0 2 1; 1.460 Å, 2θ 63.74, rel. 197, hkl 2 0 1; 1.450 Å, 2θ 64.22, rel. 191, hkl -1 2 4; 1.251 Å, 2θ 76.09, rel. 115, hkl 2 1 -2; 1.243 Å, 2θ 76.63, rel. 113, hkl 2 -1 4

Atomic structure:
Lattice parameters (Å, degrees): 2.920 4.071 10.607 79.21 82.32 89.73
Space group P-1 (No. 2)
Asymmetric unit:
Al 0.000 0.000 0.000 x1
Ag 0.144 0.142 0.718 x2
Ag 0.285 0.286 0.428 x2
Ag 0.426 0.429 0.137 x2

=====

Record 2
This entry pairs a crystal structure of Nb12Al3Os with its theoretical powder XRD pattern. Radiation: Cu Kα. Structure: a crystal structure in Alexandria, relaxed with GGA-PBE.

Top 10 peaks for 15° ≤ 2θ ≤ 90°, in order of rising 2θ:
4.651 Å, 2θ 19.08, rel. 134, hkl 0 1 1; 2.602 Å, 2θ 34.47, rel. 239, hkl 2 0 0; 2.326 Å, 2θ 38.71, rel. 1000, hkl 1 2 0; 2.320 Å, 2θ 38.81, rel. 491, hkl 0 1 4; 2.122 Å, 2θ 42.61, rel. 786, hkl 1 1 4; 1.500 Å, 2θ 61.84, rel. 151, hkl 2 2 4; 1.442 Å, 2θ 64.62, rel. 211, hkl 0 3 4; 1.390 Å, 2θ 67.38, rel. 264, hkl 3 2 2; 1.387 Å, 2θ 67.51, rel. 130, hkl 2 1 6; 1.135 Å, 2θ 85.57, rel. 193, hkl 2 4 2

Atomic structure:
Lattice parameters (Å, degrees): 5.202 5.204 10.370 90.00 90.00 90.00
Space group Pmmm (No. 47)
Asymmetric unit:
Nb 0.000 0.000 0.121 x2
Nb 0.000 0.000 0.372 x2
Nb 0.248 0.500 0.246 x4
Nb 0.500 0.248 0.500 x2
Nb 0.500 0.254 0.000 x2
Al 0.000 0.500 0.500 x1
Al 0.500 0.000 0.252 x2
Os 0.000 0.500 0.000 x1

=====

Record 3
This entry pairs a crystal structure of Tb5Pm3In with its theoretical powder XRD pattern. Radiation: Cu Kα. Structure: a crystal structure in Alexandria, relaxed with GGA-PBE.

Top 10 peaks for 15° ≤ 2θ ≤ 90°, in order of rising 2θ:
3.280 Å, 2θ 27.19, rel. 573, hkl 2 2 0; 3.082 Å, 2θ 28.97, rel. 832, hkl 2 1 3; 2.934 Å, 2θ 30.47, rel. 352, hkl 3 1 0; 2.770 Å, 2θ 32.32, rel. 1000, hkl 2 0 4; 2.529 Å, 2θ 35.49, rel. 254, hkl 3 2 1; 2.300 Å, 2θ 39.16, rel. 220, hkl 0 0 6; 2.221 Å, 2θ 40.63, rel. 239, hkl 4 1 1; 2.022 Å, 2θ 44.83, rel. 184, hkl 4 1 3; 1.610 Å, 2θ 57.23, rel. 165, hkl 5 1 4; 1.099 Å, 2θ 89.04, rel. 140, hkl 8 0 4

Atomic structure:
Lattice parameters (Å, degrees): 9.277 9.277 13.815 90.00 90.00 90.00
Space group I4/mcm (No. 140)
Asymmetric unit:
Tb 0.000 0.000 0.000 x4
Tb 0.193 0.307 0.135 x16
Pm 0.000 0.000 0.250 x4
Pm 0.115 0.385 0.500 x8
In 0.000 0.500 0.250 x4

=====

Record 4
This entry pairs a crystal structure of Rb3RhF8 with its theoretical powder XRD pattern. Radiation: Cu Kα. Structure: a crystal structure in Alexandria, relaxed with GGA-PBE.

Top 10 peaks for 15° ≤ 2θ ≤ 90°, in order of rising 2θ:
3.489 Å, 2θ 25.53, rel. 1000, hkl 1 1 1; 3.022 Å, 2θ 29.56, rel. 212, hkl 2 0 0; 2.137 Å, 2θ 42.30, rel. 572, hkl 2 2 0; 1.822 Å, 2θ 50.06, rel. 410, hkl 3 1 1; 1.745 Å, 2θ 52.45, rel. 86, hkl 2 2 2; 1.511 Å, 2θ 61.36, rel. 69, hkl 4 0 0; 1.387 Å, 2θ 67.56, rel. 210, hkl 3 3 1; 1.351 Å, 2θ 69.56, rel. 147, hkl 4 2 0; 1.234 Å, 2θ 77.35, rel. 132, hkl 4 2 2; 1.163 Å, 2θ 83.03, rel. 131, hkl 5 1 1

Atomic structure:
Lattice parameters (Å, degrees): 6.044 6.044 6.044 90.00 90.00 90.00
Space group Pm-3m (No. 221)
Asymmetric unit:
Rb 0.000 0.000 0.500 x3
Rh 0.500 0.500 0.500 x1
F 0.304 0.304 0.304 x8

=====

Record 5
This entry pairs a crystal structure of Ta4PbS8 with its theoretical powder XRD pattern. Radiation: Cu Kα. Structure: a crystal structure in Alexandria, relaxed with GGA-PBE.

Top 10 peaks for 15° ≤ 2θ ≤ 90°, in order of rising 2θ:
5.457 Å, 2θ 16.24, rel. 438, hkl 1 1 -1; 3.807 Å, 2θ 23.37, rel. 727, hkl 0 0 2; 2.937 Å, 2θ 30.44, rel. 831, hkl 2 2 -1; 2.922 Å, 2θ 30.60, rel. 453, hkl 4 0 -2; 2.751 Å, 2θ 32.55, rel. 577, hkl 2 2 0; 2.345 Å, 2θ 38.38, rel. 318, hkl 4 0 0; 2.339 Å, 2θ 38.49, rel. 1000, hkl 2 2 1; 2.311 Å, 2θ 38.97, rel. 616, hkl 2 2 -3; 2.291 Å, 2θ 39.33, rel. 517, hkl 4 0 -4; 1.690 Å, 2θ 54.29, rel. 376, hkl 6 2 -3

Atomic structure:
Lattice parameters (Å, degrees): 11.691 6.793 9.487 90.00 126.65 90.00
Space group C2/m (No. 12)
Asymmetric unit:
Ta 0.000 0.227 0.000 x4
Ta 0.244 0.000 0.997 x4
Pb 0.000 0.500 0.500 x2
S 0.068 0.251 0.797 x8
S 0.172 0.500 0.189 x4
S 0.191 0.000 0.217 x4

=====

Record 6
This entry pairs a crystal structure of Tb4NdSm2Ho2 with its theoretical powder XRD pattern. Radiation: Cu Kα. Structure: a crystal structure in Alexandria, relaxed with GGA-PBE.

Top 10 peaks for 15° ≤ 2θ ≤ 90°, in order of rising 2θ:
3.104 Å, 2θ 28.76, rel. 369, hkl 6 0 -1; 2.885 Å, 2θ 31.00, rel. 498, hkl 0 0 3; 2.817 Å, 2θ 31.77, rel. 1000, hkl 3 1 -2; 2.679 Å, 2θ 33.45, rel. 872, hkl 3 1 1; 2.252 Å, 2θ 40.04, rel. 152, hkl 6 0 -4; 1.804 Å, 2θ 50.60, rel. 255, hkl 9 1 -2; 1.683 Å, 2θ 54.51, rel. 146, hkl 3 1 -5; 1.595 Å, 2θ 57.80, rel. 183, hkl 3 1 4; 1.532 Å, 2θ 60.43, rel. 150, hkl 0 2 3; 1.529 Å, 2θ 60.54, rel. 297, hkl 9 1 1

Atomic structure:
Lattice parameters (Å, degrees): 18.732 3.616 9.601 90.00 115.66 90.00
Space group C2/m (No. 12)
Asymmetric unit:
Tb 0.019 0.000 0.333 x4
Tb 0.185 0.500 0.334 x4
Nd 0.000 0.500 0.000 x2
Sm 0.148 0.500 0.667 x4
Ho 0.168 0.000 0.002 x4

=====

Record 7
This entry pairs a crystal structure of SmY2Pt with its theoretical powder XRD pattern. Radiation: Cu Kα. Structure: a crystal structure in Alexandria, relaxed with GGA-PBE.

Top 10 peaks for 15° ≤ 2θ ≤ 90°, in order of rising 2θ:
4.311 Å, 2θ 20.60, rel. 141, hkl 0 0 2; 3.573 Å, 2θ 24.92, rel. 106, hkl 1 0 0; 2.751 Å, 2θ 32.55, rel. 1000, hkl 1 0 2; 2.526 Å, 2θ 35.54, rel. 475, hkl 1 1 0; 2.239 Å, 2θ 40.27, rel. 101, hkl 1 0 3; 2.180 Å, 2θ 41.43, rel. 98, hkl 1 1 2; 1.846 Å, 2θ 49.38, rel. 143, hkl 1 0 4; 1.786 Å, 2θ 51.14, rel. 168, hkl 2 0 0; 1.640 Å, 2θ 56.09, rel. 123, hkl 1 1 4; 1.498 Å, 2θ 61.94, rel. 314, hkl 2 1 2

Atomic structure:
Lattice parameters (Å, degrees): 3.573 3.573 8.623 90.00 90.00 90.00
Space group P4/mmm (No. 123)
Asymmetric unit:
Sm 0.000 0.000 0.000 x1
Y 0.500 0.500 0.308 x2
Pt 0.000 0.000 0.500 x1

=====

Record 8
This entry pairs a crystal structure of Pu3AsS6 with its theoretical powder XRD pattern. Radiation: Cu Kα. Structure: a crystal structure in Alexandria, relaxed with GGA-PBE.

Top 10 peaks for 15° ≤ 2θ ≤ 90°, in order of rising 2θ:
5.173 Å, 2θ 17.14, rel. 280, hkl 1 1 1; 3.508 Å, 2θ 25.39, rel. 1000, hkl 2 2 1; 3.478 Å, 2θ 25.61, rel. 511, hkl 1 3 1; 3.401 Å, 2θ 26.20, rel. 249, hkl 3 1 0; 3.319 Å, 2θ 26.86, rel. 280, hkl 0 0 2; 2.544 Å, 2θ 35.27, rel. 192, hkl 3 3 1; 2.374 Å, 2θ 37.89, rel. 344, hkl 3 1 2; 2.347 Å, 2θ 38.35, rel. 249, hkl 0 4 2; 2.121 Å, 2θ 42.63, rel. 312, hkl 3 5 0; 1.832 Å, 2θ 49.78, rel. 192, hkl 5 3 1

Atomic structure:
Lattice parameters (Å, degrees): 10.556 13.290 6.633 90.00 90.00 90.00
Space group Cmc2_1 (No. 36)
Asymmetric unit:
Pu 0.000 0.101 0.000 x4
Pu 0.182 0.400 0.093 x8
As 0.000 0.323 0.608 x4
S 0.000 0.267 0.259 x4
S 0.000 0.492 0.855 x4
S 0.162 0.240 0.791 x8
S 0.163 0.028 0.296 x8

=====

Record 9
This entry pairs a crystal structure of Ta2Ti4In with its theoretical powder XRD pattern. Radiation: Cu Kα. Structure: a crystal structure in Alexandria, relaxed with GGA-PBE.

Top 10 peaks for 15° ≤ 2θ ≤ 90°, in order of rising 2θ:
4.743 Å, 2θ 18.71, rel. 263, hkl 0 0 2; 3.735 Å, 2θ 23.82, rel. 523, hkl 0 1 2; 2.363 Å, 2θ 38.08, rel. 1000, hkl 1 1 2; 2.339 Å, 2θ 38.49, rel. 968, hkl 0 1 4; 2.314 Å, 2θ 38.92, rel. 490, hkl 0 2 1; 2.307 Å, 2θ 39.04, rel. 455, hkl 1 0 -2; 1.692 Å, 2θ 54.20, rel. 167, hkl 1 0 5; 1.366 Å, 2θ 68.71, rel. 159, hkl 1 2 6; 1.346 Å, 2θ 69.86, rel. 158, hkl 1 3 3; 1.341 Å, 2θ 70.19, rel. 159, hkl 0 3 5

Atomic structure:
Lattice parameters (Å, degrees): 2.882 4.629 9.854 76.44 82.19 89.89
Space group P-1 (No. 2)
Asymmetric unit:
Ta 0.111 0.210 0.080 x2
Ti 0.344 0.924 0.653 x2
Ti 0.422 0.651 0.199 x2
In 0.000 0.500 0.500 x1

=====

Record 10
This entry pairs a crystal structure of Nd4HgBiC with its theoretical powder XRD pattern. Radiation: Cu Kα. Structure: a crystal structure in Alexandria, relaxed with GGA-PBE.

Top 10 peaks for 15° ≤ 2θ ≤ 90°, in order of rising 2θ:
3.577 Å, 2θ 24.89, rel. 266, hkl 2 0 0; 3.271 Å, 2θ 27.27, rel. 544, hkl 2 2 0; 2.692 Å, 2θ 33.28, rel. 212, hkl 0 6 0; 2.678 Å, 2θ 33.46, rel. 1000, hkl 2 4 0; 2.529 Å, 2θ 35.49, rel. 611, hkl 2 0 2; 1.844 Å, 2θ 49.44, rel. 279, hkl 2 6 2; 1.789 Å, 2θ 51.06, rel. 218, hkl 4 0 0; 1.490 Å, 2θ 62.32, rel. 139, hkl 4 6 0; 1.487 Å, 2θ 62.44, rel. 339, hkl 4 4 2; 1.472 Å, 2θ 63.15, rel. 132, hkl 2 10 0

Atomic structure:
Lattice parameters (Å, degrees): 7.156 16.155 7.153 90.00 90.00 90.00
Space group Cmcm (No. 63)
Asymmetric unit:
Nd 0.000 0.083 0.250 x4
Nd 0.000 0.408 0.250 x4
Nd 0.250 0.250 0.000 x8
Hg 0.000 0.116 0.750 x4
Bi 0.000 0.391 0.750 x4
C 0.000 0.249 0.250 x4

=====

Record 11
This entry pairs a crystal structure of VTeN3 with its theoretical powder XRD pattern. Radiation: Cu Kα. Structure: a crystal structure in Alexandria, relaxed with GGA-PBE.

Top 10 peaks for 15° ≤ 2θ ≤ 90°, in order of rising 2θ:
3.882 Å, 2θ 22.91, rel. 156, hkl 1 0 0; 2.745 Å, 2θ 32.62, rel. 1000, hkl 1 1 0; 2.241 Å, 2θ 40.23, rel. 184, hkl 1 1 1; 1.941 Å, 2θ 46.80, rel. 305, hkl 2 0 0; 1.736 Å, 2θ 52.72, rel. 83, hkl 2 1 0; 1.585 Å, 2θ 58.21, rel. 375, hkl 2 1 1; 1.373 Å, 2θ 68.34, rel. 178, hkl 2 2 0; 1.228 Å, 2θ 77.80, rel. 158, hkl 3 1 0; 1.171 Å, 2θ 82.39, rel. 60, hkl 3 1 1; 1.121 Å, 2θ 86.93, rel. 60, hkl 2 2 2

Atomic structure:
Lattice parameters (Å, degrees): 3.882 3.882 3.882 90.00 90.00 90.00
Space group Pm-3m (No. 221)
Asymmetric unit:
V 0.000 0.000 0.000 x1
Te 0.500 0.500 0.500 x1
N 0.000 0.000 0.500 x3

=====

Record 12
This entry pairs a crystal structure of Pu2Tl3 with its theoretical powder XRD pattern. Radiation: Cu Kα. Structure: a crystal structure in Alexandria, relaxed with GGA-PBE.

Top 10 peaks for 15° ≤ 2θ ≤ 90°, in order of rising 2θ:
2.763 Å, 2θ 32.41, rel. 1000, hkl 1 0 5; 2.399 Å, 2θ 37.49, rel. 342, hkl 1 1 0; 2.380 Å, 2θ 37.80, rel. 166, hkl 0 0 10; 1.696 Å, 2θ 54.06, rel. 121, hkl 2 0 0; 1.689 Å, 2θ 54.30, rel. 239, hkl 1 1 10; 1.446 Å, 2θ 64.46, rel. 288, hkl 2 1 5; 1.437 Å, 2θ 64.88, rel. 141, hkl 1 0 15; 1.381 Å, 2θ 67.85, rel. 124, hkl 2 0 10; 1.100 Å, 2θ 88.97, rel. 64, hkl 3 0 5; 1.097 Å, 2θ 89.35, rel. 126, hkl 2 1 15

Atomic structure:
Lattice parameters (Å, degrees): 3.392 3.392 23.799 90.00 90.00 90.00
Space group I4/mmm (No. 139)
Asymmetric unit:
Pu 0.000 0.000 0.099 x4
Tl 0.000 0.000 0.300 x4
Tl 0.000 0.000 0.500 x2

=====

Q: Number 1 is which compound?
A: AlAg6